Theoretical X-ray powder pattern of Pm6Dy3Y2 for CuKα, from DFT lattice parameters and positions (PBE).
Intensities are scaled so that the largest is 100.

The 10 most intense peaks (2θ from 5° to 70°), in order of falling intensity:
h k l  two_theta  intensity
0 1 11  30.32  100
1 0 22  35.19  67
2 0 11  60.12  43
0 0 33  30.45  33
1 1 0  50.53  24
0 1 44  50.70  24
1 0 55  60.31  14
0 2 22  63.06  13
0 0 66  63.37  4
0 0 9  8.22  3

```
data_Pm6Dy3Y2
_cell_length_a 3.6129
_cell_length_b 3.6129
_cell_length_c 96.8652
_cell_angle_alpha 90.00
_cell_angle_beta 90.00
_cell_angle_gamma 120.00
_symmetry_space_group_name_H-M 'R -3 m'
_symmetry_Int_Tables_number 166
_symmetry_space_group_name_Hall '-R 3 2"'
loop_
_atom_site_label
_atom_site_type_symbol
_atom_site_fract_x
_atom_site_fract_y
_atom_site_fract_z
_atom_site_occupancy
Pm1 Pm 0.0000 0.0000 0.0904 1
Pm2 Pm 0.0000 0.0000 0.1822 1
Pm3 Pm 0.0000 0.0000 0.3635 1
Dy1 Dy 0.0000 0.0000 0.0000 1
Dy2 Dy 0.0000 0.0000 0.2731 1
Y1 Y 0.0000 0.0000 0.4541 1
```